Record 1
Computed powder X-ray diffraction pattern
Compound: MgCd2Se3
Radiation: Cu Kα (weighted mean of Kα1 and Kα2)
Structure: a crystal structure in Alexandria, relaxed with GGA-PBE

Cell and atoms:
Unit cell a=4.3350 b=12.9888 c=6.1290 alpha=90.00 beta=90.00 gamma=90.00
Space group Imm2 (No. 44)
Inequivalent atoms, fractional coordinates:
Mg: 0.0000 0.0000 0.0000
Cd: 0.0000 0.3345 0.9971
Se: 0.0000 0.1626 0.7546
Se: 0.0000 0.5000 0.7344

Most intense lines, 10° ≤ 2θ ≤ 80°, low angle first:
2theta, d/Å, I/Imax, index
13.63, 6.494, 5, 0 2 0
15.99, 5.543, 7, 0 1 1
21.61, 4.112, 4, 1 1 0
25.17, 3.538, 100, 1 0 1
28.73, 3.108, 5, 1 2 1
36.57, 2.457, 3, 1 1 2
37.59, 2.393, 4, 1 4 1
41.69, 2.166, 76, 2 0 0
49.32, 1.848, 46, 2 3 1
60.43, 1.532, 12, 2 6 0
66.51, 1.406, 18, 3 0 1
76.10, 1.251, 24, 3 3 2

---

Record 2
Computed powder X-ray diffraction pattern
Compound: La2Pm4SmHo2
Radiation: Cu Kα (weighted mean of Kα1 and Kα2)
Structure: a crystal structure in Alexandria, relaxed with GGA-PBE

Cell and atoms:
Unit cell a=19.0609 b=3.6791 c=9.7511 alpha=90.00 beta=115.78 gamma=90.00
Space group C2/m (No. 12)
Inequivalent atoms, fractional coordinates:
La: 0.1663 0.0000 0.4980
Pm: 0.0189 0.0000 0.8370
Pm: 0.1862 0.5000 0.8349
Sm: 0.0000 0.5000 0.5000
Ho: 0.1478 0.5000 0.1651

Most intense lines, 10° ≤ 2θ ≤ 80°, low angle first:
2theta, d/Å, I/Imax, index
28.25, 3.159, 36, 6 0 -1
28.87, 3.093, 18, 6 0 -2
30.54, 2.927, 51, 0 0 3
31.22, 2.865, 100, 3 1 -2
32.89, 2.723, 91, 3 1 1
39.38, 2.288, 13, 6 0 -4
49.55, 1.840, 13, 0 2 0
49.67, 1.835, 26, 9 1 -2
53.63, 1.709, 21, 3 1 -5
56.85, 1.619, 20, 3 1 4
59.38, 1.556, 31, 0 2 3
59.46, 1.555, 15, 9 1 1

---

Record 3
Computed powder X-ray diffraction pattern
Compound: Pr2PuHg4
Radiation: Cu Kα (weighted mean of Kα1 and Kα2)
Structure: a crystal structure in Alexandria, relaxed with GGA-PBE

Cell and atoms:
Unit cell a=5.3619 b=5.3619 c=7.3268 alpha=90.00 beta=90.00 gamma=90.00
Space group P4/mmm (No. 123)
Inequivalent atoms, fractional coordinates:
Pr: 0.0000 0.0000 0.0000
Pr: 0.5000 0.5000 0.5000
Pu: 0.0000 0.0000 0.5000
Hg: 0.0000 0.5000 0.2405

Most intense lines, 10° ≤ 2θ ≤ 80°, low angle first:
2theta, d/Å, I/Imax, index
12.08, 7.327, 6, 0 0 1
16.53, 5.362, 9, 1 0 0
23.46, 3.791, 6, 1 1 0
26.47, 3.367, 9, 1 1 1
33.42, 2.681, 53, 2 0 0
34.03, 2.635, 100, 1 1 2
47.99, 1.896, 20, 2 2 0
49.78, 1.832, 8, 0 0 4
60.13, 1.539, 40, 3 1 2
61.29, 1.512, 18, 2 0 4
70.21, 1.340, 6, 4 0 0
71.64, 1.317, 12, 2 2 4

---

Record 4
Computed powder X-ray diffraction pattern
Compound: KBPb
Radiation: Cu Kα (weighted mean of Kα1 and Kα2)
Structure: a crystal structure in Alexandria, relaxed with GGA-PBE

Cell and atoms:
Unit cell a=3.2428 b=6.0102 c=8.6746 alpha=90.00 beta=91.18 gamma=90.00
Space group Pm (No. 6)
Inequivalent atoms, fractional coordinates:
K: 0.0000 0.0000 0.0000
K: 0.0438 0.5000 0.6256
B: 0.2950 0.0000 0.6684
B: 0.7845 0.0000 0.6664
Pb: 0.5182 0.5000 0.2210
Pb: 0.5187 0.0000 0.3797

Most intense lines, 10° ≤ 2θ ≤ 80°, low angle first:
2theta, d/Å, I/Imax, index
10.20, 8.673, 100, 0 0 1
17.96, 4.940, 11, 0 1 1
25.33, 3.517, 41, 0 1 2
27.51, 3.242, 12, 1 0 0
29.21, 3.058, 14, 1 0 -1
29.61, 3.016, 15, 1 0 1
29.73, 3.005, 24, 0 2 0
31.51, 2.839, 16, 0 2 1
32.86, 2.725, 11, 1 1 -1
34.42, 2.605, 26, 0 1 3
42.16, 2.143, 11, 1 2 -1
42.46, 2.129, 12, 1 2 1